Starting from a DFT-relaxed cell (GGA-PBE, the Materials Project), the powder diffraction line list of Ca3Si2O10 was calculated for Cu Kα (λ = 1.5418 Å).

Atomic structure:
```
data_Ca3Si2O10
_chemical_formula_sum 'Ca12 Si8 O40'
_symmetry_space_group_name_H-M 'C 1 c 1'
_symmetry_Int_Tables_number 9
_symmetry_space_group_name_Hall 'C -2yc'
_cell_length_a 15.7646
_cell_length_b 5.5933
_cell_length_c 11.9045
_cell_angle_alpha 90.00
_cell_angle_beta 125.28
_cell_angle_gamma 90.00
loop_
_atom_site_label
_atom_site_fract_x
_atom_site_fract_y
_atom_site_fract_z
Ca1 0.0000 0.2207 0.0000
Ca2 0.1220 0.2339 0.8224
Ca3 0.4124 0.2413 0.7208
Si1 0.1323 0.3018 0.5074
Si2 0.3990 0.2818 0.0299
O1 0.0507 0.4915 0.8998
O2 0.0824 0.0401 0.4397
O3 0.1496 0.3398 0.6568
O4 0.2101 0.2192 0.2481
O5 0.2444 0.3165 0.5257
O6 0.2891 0.2734 0.0177
O7 0.2982 0.2018 0.2741
O8 0.3850 0.3556 0.8864
O9 0.4491 0.0150 0.0887
O10 0.4780 0.4858 0.1433
```

Largest 10 diffraction maxima, sorted by position, 2θ from 15° to 90°:
2θ/deg	intensity
28.0	100
28.7	14
31.6	78
32.0	33
33.5	25
34.4	15
46.0	14
49.7	20
52.1	18
54.6	16